Record 1
Np4CuP5: theoretical powder X-ray diffraction pattern (Cu Kα X-rays), based on a DFT-relaxed cell (PBE, Alexandria).
Kinematic intensities with the Lorentz-polarization factor, no thermal factor.

Top 12 peaks for 2θ from 5° to 70°, by angle:
| 2θ (°) | intensity |
| --- | --- |
| 24.71 | 184 |
| 27.65 | 984 |
| 29.48 | 258 |
| 31.02 | 144 |
| 33.06 | 1000 |
| 44.11 | 281 |
| 45.16 | 534 |
| 49.65 | 145 |
| 52.15 | 159 |
| 53.78 | 169 |
| 55.80 | 176 |
| 57.10 | 212 |

Lattice parameters (Å, degrees): 14.5997 14.5997 14.5997 15.81 15.81 15.81
Atoms (fractional coordinates):
Np 0.1108 0.1108 0.1108
Np 0.2964 0.2964 0.2964
Np 0.7036 0.7036 0.7036
Np 0.8892 0.8892 0.8892
Cu 0.5000 0.5000 0.5000
P 0.0000 0.0000 0.0000
P 0.1923 0.1923 0.1923
P 0.4068 0.4068 0.4068
P 0.5932 0.5932 0.5932
P 0.8077 0.8077 0.8077

Record 2
KSbClF3: theoretical powder X-ray diffraction pattern (Cu Kα X-rays), based on a DFT-relaxed cell (PBE, Alexandria).
Kinematic intensities with the Lorentz-polarization factor, no thermal factor.

Top 12 peaks for 2θ from 5° to 70°, by angle:
| 2θ (°) | intensity |
| --- | --- |
| 11.71 | 340 |
| 16.13 | 574 |
| 16.48 | 416 |
| 21.44 | 461 |
| 23.49 | 868 |
| 24.50 | 401 |
| 25.41 | 1000 |
| 26.08 | 587 |
| 26.95 | 541 |
| 35.66 | 394 |
| 38.85 | 422 |
| 39.75 | 478 |

Lattice parameters (Å, degrees): 8.0021 8.2887 15.1149 90.00 90.00 90.00
Atoms (fractional coordinates):
K 0.1847 0.1993 0.0575
K 0.1847 0.3007 0.5575
K 0.3153 0.6993 0.0575
K 0.3153 0.8007 0.5575
K 0.6847 0.1993 0.4425
K 0.6847 0.3007 0.9425
K 0.8153 0.6993 0.4425
K 0.8153 0.8007 0.9425
Sb 0.1316 0.0011 0.3249
Sb 0.1316 0.4989 0.8249
Sb 0.3684 0.5011 0.3249
Sb 0.3684 0.9989 0.8249
Sb 0.6316 0.0011 0.1751
Sb 0.6316 0.4989 0.6751
Sb 0.8684 0.5011 0.1751
Sb 0.8684 0.9989 0.6751
Cl 0.0189 0.1261 0.8473
Cl 0.0189 0.3739 0.3473
Cl 0.4811 0.6261 0.8473
Cl 0.4811 0.8739 0.3473
Cl 0.5189 0.1261 0.6527
Cl 0.5189 0.3739 0.1527
Cl 0.9811 0.6261 0.6527
Cl 0.9811 0.8739 0.1527
F 0.1069 0.7310 0.8556
F 0.1069 0.7690 0.3556
F 0.1138 0.5037 0.1491
F 0.1138 0.9963 0.6491
F 0.1684 0.0365 0.4539
F 0.1684 0.4635 0.9539
F 0.3316 0.5365 0.4539
F 0.3316 0.9635 0.9539
F 0.3862 0.0037 0.1491
F 0.3862 0.4963 0.6491
F 0.3931 0.2310 0.8556
F 0.3931 0.2690 0.3556
F 0.6069 0.7310 0.6444
F 0.6069 0.7690 0.1444
F 0.6138 0.5037 0.3509
F 0.6138 0.9963 0.8509
F 0.6684 0.0365 0.0461
F 0.6684 0.4635 0.5461
F 0.8316 0.5365 0.0461
F 0.8316 0.9635 0.5461
F 0.8862 0.0037 0.3509
F 0.8862 0.4963 0.8509
F 0.8931 0.2310 0.6444
F 0.8931 0.2690 0.1444

Copy entry 2 word for word.
KSbClF3: theoretical powder X-ray diffraction pattern (Cu Kα X-rays), based on a DFT-relaxed cell (PBE, Alexandria).
Kinematic intensities with the Lorentz-polarization factor, no thermal factor.

Top 12 peaks for 2θ from 5° to 70°, by angle:
| 2θ (°) | intensity |
| --- | --- |
| 11.71 | 340 |
| 16.13 | 574 |
| 16.48 | 416 |
| 21.44 | 461 |
| 23.49 | 868 |
| 24.50 | 401 |
| 25.41 | 1000 |
| 26.08 | 587 |
| 26.95 | 541 |
| 35.66 | 394 |
| 38.85 | 422 |
| 39.75 | 478 |

Lattice parameters (Å, degrees): 8.0021 8.2887 15.1149 90.00 90.00 90.00
Atoms (fractional coordinates):
K 0.1847 0.1993 0.0575
K 0.1847 0.3007 0.5575
K 0.3153 0.6993 0.0575
K 0.3153 0.8007 0.5575
K 0.6847 0.1993 0.4425
K 0.6847 0.3007 0.9425
K 0.8153 0.6993 0.4425
K 0.8153 0.8007 0.9425
Sb 0.1316 0.0011 0.3249
Sb 0.1316 0.4989 0.8249
Sb 0.3684 0.5011 0.3249
Sb 0.3684 0.9989 0.8249
Sb 0.6316 0.0011 0.1751
Sb 0.6316 0.4989 0.6751
Sb 0.8684 0.5011 0.1751
Sb 0.8684 0.9989 0.6751
Cl 0.0189 0.1261 0.8473
Cl 0.0189 0.3739 0.3473
Cl 0.4811 0.6261 0.8473
Cl 0.4811 0.8739 0.3473
Cl 0.5189 0.1261 0.6527
Cl 0.5189 0.3739 0.1527
Cl 0.9811 0.6261 0.6527
Cl 0.9811 0.8739 0.1527
F 0.1069 0.7310 0.8556
F 0.1069 0.7690 0.3556
F 0.1138 0.5037 0.1491
F 0.1138 0.9963 0.6491
F 0.1684 0.0365 0.4539
F 0.1684 0.4635 0.9539
F 0.3316 0.5365 0.4539
F 0.3316 0.9635 0.9539
F 0.3862 0.0037 0.1491
F 0.3862 0.4963 0.6491
F 0.3931 0.2310 0.8556
F 0.3931 0.2690 0.3556
F 0.6069 0.7310 0.6444
F 0.6069 0.7690 0.1444
F 0.6138 0.5037 0.3509
F 0.6138 0.9963 0.8509
F 0.6684 0.0365 0.0461
F 0.6684 0.4635 0.5461
F 0.8316 0.5365 0.0461
F 0.8316 0.9635 0.5461
F 0.8862 0.0037 0.3509
F 0.8862 0.4963 0.8509
F 0.8931 0.2310 0.6444
F 0.8931 0.2690 0.1444